The following is a calculated powder XRD pattern of Ho2CoGe3. It was derived from a structure optimized by DFT (PBE), using Cu Kα (λ = 1.5418 Å).
Intensities are scaled so that the largest is 1000.

Principal peaks in the range 2θ from 10° to 90°, by intensity:
two_theta	intensity
35.4	1000
34.0	728
35.7	491
43.1	470
40.4	447
24.0	298

Cell and atoms:
```
data_Ho2CoGe3
_symmetry_space_group_name_H-M 'P 1'
_symmetry_Int_Tables_number 1
_cell_length_a 5.5957
_cell_length_b 5.5957
_cell_length_c 6.8906
_cell_angle_alpha 126.95
_cell_angle_beta 126.95
_cell_angle_gamma 44.09
loop_
_symmetry_equiv_pos_as_xyz
'x,y,z'
loop_
_atom_site_label
_atom_site_type_symbol
_atom_site_fract_x
_atom_site_fract_y
_atom_site_fract_z
Ho1 Ho 0.0000 0.0000 0.0000
Ho2 Ho 0.1151 0.1151 0.5930
Co1 Co 0.7359 0.7359 0.0452
Ge1 Ge 0.3636 0.3636 0.1683
Ge2 Ge 0.4518 0.4518 0.6701
Ge3 Ge 0.7403 0.7403 0.4018
```